No. 1
Diffraction record for Fe2BiSbO7. The X-ray diffraction stick pattern is computed, not measured: it uses a PBE+U-relaxed structure and a wavelength of 1.5418 Å.
Kinematic intensities with the Lorentz-polarization factor, no thermal factor.

The 12 most intense peaks (15° ≤ 2θ ≤ 90°), in order of falling intensity:
| d_spacing | Position (°2θ) | intensity |
| --- | --- | --- |
| 3.036 | 29.42 | 100 |
| 2.991 | 29.87 | 90 |
| 1.844 | 49.41 | 61 |
| 2.610 | 34.36 | 58 |
| 1.584 | 58.23 | 29 |
| 1.565 | 59.02 | 27 |
| 3.169 | 28.16 | 27 |
| 3.134 | 28.48 | 20 |
| 1.826 | 49.94 | 16 |
| 1.868 | 48.74 | 15 |
| 1.575 | 58.62 | 14 |
| 1.568 | 58.88 | 13 |

Atomic structure:
Cell: 7.379 7.379 7.379 Å, 120.66 119.15 90.17°
Atoms (fractional coordinates):
Fe1 0.000 0.000 0.000
Fe2 0.500 0.000 0.000
Fe3 0.500 0.000 0.500
Fe4 0.500 0.500 0.500
Bi1 0.000 0.500 0.500
Bi2 0.500 0.500 0.000
Sb1 0.000 0.000 0.500
Sb2 0.000 0.500 0.000
O1 0.062 0.812 0.250
O2 0.071 0.398 0.223
O3 0.071 0.848 0.672
O4 0.324 0.152 0.723
O5 0.324 0.602 0.172
O6 0.352 0.602 0.750
O7 0.365 0.115 0.250
O8 0.635 0.885 0.750
O9 0.648 0.398 0.250
O10 0.676 0.398 0.828
O11 0.676 0.848 0.277
O12 0.929 0.152 0.328
O13 0.929 0.602 0.777
O14 0.938 0.188 0.750



No. 2
Diffraction record for FeBiSe3O9. The X-ray diffraction stick pattern is computed, not measured: it uses a PBE+U-relaxed structure and a wavelength of 1.5418 Å.
Kinematic intensities with the Lorentz-polarization factor, no thermal factor.

The 12 most intense peaks (15° ≤ 2θ ≤ 90°), in order of falling intensity:
| d_spacing | Position (°2θ) | intensity |
| --- | --- | --- |
| 3.468 | 25.69 | 100 |
| 3.424 | 26.02 | 82 |
| 2.919 | 30.62 | 72 |
| 2.741 | 32.67 | 60 |
| 2.439 | 36.85 | 59 |
| 2.984 | 29.95 | 46 |
| 3.853 | 23.08 | 45 |
| 2.480 | 36.23 | 41 |
| 3.693 | 24.10 | 41 |
| 3.878 | 22.93 | 39 |
| 1.733 | 52.83 | 36 |
| 5.321 | 16.66 | 36 |

Atomic structure:
Cell: 7.748 8.883 12.932 Å, 90.00 90.00 90.00°
Atoms (fractional coordinates):
Fe1 0.248 0.222 0.329
Fe2 0.252 0.778 0.829
Fe3 0.748 0.278 0.671
Fe4 0.752 0.722 0.171
Bi1 0.216 0.791 0.528
Bi2 0.284 0.209 0.028
Bi3 0.716 0.709 0.472
Bi4 0.784 0.291 0.972
Se1 0.064 0.550 0.324
Se2 0.074 0.100 0.777
Se3 0.091 0.591 0.044
Se4 0.409 0.409 0.544
Se5 0.426 0.900 0.277
Se6 0.436 0.450 0.824
Se7 0.564 0.950 0.676
Se8 0.574 0.400 0.223
Se9 0.591 0.909 0.956
Se10 0.909 0.091 0.456
Se11 0.926 0.600 0.723
Se12 0.936 0.050 0.176
O1 0.037 0.358 0.330
O2 0.044 0.604 0.455
O3 0.057 0.926 0.835
O4 0.083 0.393 0.042
O5 0.123 0.627 0.915
O6 0.131 0.108 0.447
O7 0.138 0.665 0.704
O8 0.146 0.099 0.210
O9 0.179 0.211 0.867
O10 0.321 0.789 0.367
O11 0.354 0.901 0.710
O12 0.362 0.335 0.204
O13 0.369 0.892 0.947
O14 0.377 0.373 0.415
O15 0.417 0.607 0.542
O16 0.443 0.074 0.335
O17 0.456 0.396 0.955
O18 0.463 0.642 0.830
O19 0.537 0.142 0.670
O20 0.544 0.896 0.545
O21 0.557 0.574 0.165
O22 0.583 0.107 0.958
O23 0.623 0.873 0.085
O24 0.631 0.392 0.553
O25 0.638 0.835 0.296
O26 0.646 0.401 0.790
O27 0.679 0.289 0.133
O28 0.821 0.711 0.633
O29 0.854 0.599 0.290
O30 0.862 0.165 0.796
O31 0.869 0.608 0.053
O32 0.877 0.127 0.585
O33 0.917 0.893 0.458
O34 0.943 0.426 0.665
O35 0.956 0.104 0.045
O36 0.963 0.858 0.170